This entry pairs a crystal structure of NaLiPdO2 with its computed powder XRD pattern. Radiation: λ = 1.5418 Å (Cu Kα). Structure: the PBE geometry in OQMD.
Peak positions follow from Bragg's law for the DFT cell and can differ from measured ones.

The 10 most intense peaks (2θ = 10–90°), in order of rising 2θ:
19.07°, I 36; 22.57°, I 100; 30.84°, I 19; 35.55°, I 25; 35.96°, I 23; 41.02°, I 30; 41.52°, I 60; 52.62°, I 9; 53.86°, I 21; 60.18°, I 24

```
5
Lattice="-1.526 2.174 4.653 1.526 -2.174 4.653 1.526 2.174 -4.653" Properties=species:S:1:pos:R:3 pbc="T T T"
Na 0.000 0.000 0.000
Li 0.000 0.000 3.485
Pd 0.000 0.000 6.248
O 0.000 2.174 0.176
O 0.000 2.174 2.946
```

---

This entry pairs a crystal structure of Rb2NaLi2ReO6 with its computed powder XRD pattern. Radiation: λ = 1.5418 Å (Cu Kα). Structure: the PBE geometry in OQMD.
Peak positions follow from Bragg's law for the DFT cell and can differ from measured ones.

The 10 most intense peaks (2θ = 10–90°), in order of rising 2θ:
14.74°, I 32; 17.17°, I 35; 18.51°, I 100; 21.26°, I 28; 27.18°, I 71; 29.99°, I 55; 30.75°, I 32; 31.29°, I 25; 35.95°, I 67; 40.47°, I 26

```
12
Lattice="3.024 -6.009 0.000 3.024 6.009 0.000 -1.653 0.000 4.794" Properties=species:S:1:pos:R:3 pbc="T T T"
Rb 3.024 3.819 0.000
Rb 3.024 -3.819 0.000
Na -0.826 0.000 2.397
Li 2.198 1.185 2.397
Li 2.198 -1.185 2.397
Re 3.024 0.000 0.000
O 0.694 1.353 3.620
O 1.411 0.000 1.021
O 0.694 -1.353 3.620
O 3.701 1.353 1.174
O 2.984 0.000 3.773
O 3.701 -1.353 1.174
```

---

This entry pairs a crystal structure of Na2LiReO6 with its computed powder XRD pattern. Radiation: λ = 1.5418 Å (Cu Kα). Structure: the PBE geometry in OQMD.
Peak positions follow from Bragg's law for the DFT cell and can differ from measured ones.

The 10 most intense peaks (2θ = 10–90°), in order of rising 2θ:
18.38°, I 49; 27.65°, I 100; 32.05°, I 67; 37.13°, I 24; 38.36°, I 40; 41.73°, I 27; 46.96°, I 37; 53.52°, I 20; 53.62°, I 37; 61.30°, I 26

```
10
Lattice="3.425 0.000 0.000 0.000 3.425 0.000 0.000 0.000 9.652" Properties=species:S:1:pos:R:3 pbc="T T T"
Na 0.000 0.000 2.107
Na 0.000 0.000 7.545
Li 1.712 1.712 0.000
Re 1.712 1.712 4.826
O 0.000 0.000 0.000
O 0.000 0.000 4.826
O 0.000 1.712 3.552
O 0.000 1.712 6.100
O 1.712 0.000 3.552
O 1.712 0.000 6.100
```

---

This entry pairs a crystal structure of Na4LiReO6 with its computed powder XRD pattern. Radiation: λ = 1.5418 Å (Cu Kα). Structure: the PBE geometry in OQMD.
Peak positions follow from Bragg's law for the DFT cell and can differ from measured ones.

The 10 most intense peaks (2θ = 10–90°), in order of rising 2θ:
17.84°, I 67; 18.42°, I 39; 19.88°, I 100; 21.34°, I 58; 25.75°, I 54; 33.08°, I 26; 34.01°, I 29; 39.00°, I 33; 41.35°, I 57; 57.80°, I 18

```
12
Lattice="2.766 -4.816 0.000 2.766 4.816 0.000 -2.253 0.000 4.973" Properties=species:S:1:pos:R:3 pbc="T T T"
Na 2.766 3.200 0.000
Na 1.640 1.730 2.486
Na 1.640 -1.730 2.486
Na 2.766 -3.200 0.000
Li -1.126 0.000 2.486
Re 2.766 0.000 0.000
O -0.241 1.335 3.816
O 1.187 0.000 1.036
O -0.241 -1.335 3.816
O 3.521 1.335 1.156
O 2.092 0.000 3.937
O 3.521 -1.335 1.156
```

---

This entry pairs a crystal structure of Na3LiZnSeO6 with its computed powder XRD pattern. Radiation: λ = 1.5418 Å (Cu Kα). Structure: the PBE geometry in OQMD.
Peak positions follow from Bragg's law for the DFT cell and can differ from measured ones.

The 10 most intense peaks (2θ = 10–90°), in order of rising 2θ:
16.94°, I 68; 19.61°, I 22; 20.38°, I 41; 22.56°, I 33; 26.03°, I 22; 36.15°, I 43; 41.25°, I 49; 41.54°, I 100; 58.71°, I 28; 61.22°, I 26

```
12
Lattice="2.626 -4.526 0.000 2.626 4.526 0.000 -1.783 0.000 5.235" Properties=species:S:1:pos:R:3 pbc="T T T"
Na 0.000 0.000 0.000
Na 2.626 1.545 0.000
Na 2.626 -1.629 0.000
Li 1.734 -3.048 2.617
Zn 1.734 3.001 2.617
Se 1.734 -0.028 2.617
O 0.984 1.310 1.567
O 0.211 -0.041 3.656
O 0.961 -1.347 1.561
O 2.485 1.310 3.668
O 3.258 -0.041 1.578
O 2.507 -1.347 3.674
```

---

This entry pairs a crystal structure of Na3LiZnTeO6 with its computed powder XRD pattern. Radiation: λ = 1.5418 Å (Cu Kα). Structure: the PBE geometry in OQMD.
Peak positions follow from Bragg's law for the DFT cell and can differ from measured ones.

The 10 most intense peaks (2θ = 10–90°), in order of rising 2θ:
16.87°, I 88; 19.31°, I 32; 20.06°, I 59; 22.32°, I 48; 25.75°, I 34; 34.11°, I 31; 35.62°, I 55; 40.82°, I 57; 40.97°, I 100; 58.25°, I 44

```
12
Lattice="2.666 -4.596 0.000 2.666 4.596 0.000 -1.785 0.000 5.257" Properties=species:S:1:pos:R:3 pbc="T T T"
Na 0.000 0.000 0.000
Na 2.666 1.597 0.000
Na 2.666 -1.685 0.000
Li 1.774 -3.102 2.628
Zn 1.774 3.048 2.628
Te 1.774 -0.032 2.628
O 0.978 1.388 1.531
O 0.153 -0.050 3.728
O 0.947 -1.427 1.523
O 2.570 1.388 3.726
O 3.395 -0.050 1.529
O 2.601 -1.427 3.734
```

---

This entry pairs a crystal structure of NaLiPdS3 with its computed powder XRD pattern. Radiation: λ = 1.5418 Å (Cu Kα). Structure: the PBE geometry in OQMD.
Peak positions follow from Bragg's law for the DFT cell and can differ from measured ones.

The 10 most intense peaks (2θ = 10–90°), in order of rising 2θ:
14.39°, I 100; 19.16°, I 52; 24.04°, I 60; 24.83°, I 34; 32.36°, I 68; 37.87°, I 71; 38.89°, I 32; 48.40°, I 47; 48.55°, I 40; 51.45°, I 24

```
12
Lattice="1.874 -6.157 0.000 1.874 6.157 0.000 0.000 0.000 9.263" Properties=species:S:1:pos:R:3 pbc="T T T"
Na 1.874 3.107 6.947
Na 1.874 -3.107 2.316
Li 1.874 5.814 2.316
Li 1.874 -5.814 6.947
Pd 1.874 0.000 0.000
Pd 1.874 0.000 4.631
S 1.874 4.602 0.313
S 1.874 4.602 4.318
S 1.874 0.973 2.316
S 1.874 -0.973 6.947
S 1.874 -4.602 4.944
S 1.874 -4.602 8.950
```

---

This entry pairs a crystal structure of Na2LiTaS4 with its computed powder XRD pattern. Radiation: λ = 1.5418 Å (Cu Kα). Structure: the PBE geometry in OQMD.
Peak positions follow from Bragg's law for the DFT cell and can differ from measured ones.

The 10 most intense peaks (2θ = 10–90°), in order of rising 2θ:
12.95°, I 100; 14.62°, I 41; 18.35°, I 19; 19.57°, I 46; 23.54°, I 27; 30.01°, I 21; 32.81°, I 27; 39.75°, I 24; 40.17°, I 13; 41.98°, I 19

```
8
Lattice="6.836 0.000 0.000 0.000 6.836 0.000 0.000 0.000 6.061" Properties=species:S:1:pos:R:3 pbc="T T T"
Na 0.000 3.418 0.000
Na 3.418 0.000 0.000
Li 0.000 0.000 3.030
Ta 0.000 0.000 0.000
S 1.304 1.304 4.705
S 1.304 5.532 1.355
S 5.532 1.304 1.355
S 5.532 5.532 4.705
```

---

This entry pairs a crystal structure of Na2LiTaSe4 with its computed powder XRD pattern. Radiation: λ = 1.5418 Å (Cu Kα). Structure: the PBE geometry in OQMD.
Peak positions follow from Bragg's law for the DFT cell and can differ from measured ones.

The 10 most intense peaks (2θ = 10–90°), in order of rising 2θ:
12.60°, I 100; 14.22°, I 31; 17.86°, I 15; 19.04°, I 32; 22.90°, I 60; 31.90°, I 32; 36.16°, I 17; 38.64°, I 36; 40.80°, I 19; 48.65°, I 16

```
8
Lattice="7.025 0.000 0.000 0.000 7.025 0.000 0.000 0.000 6.228" Properties=species:S:1:pos:R:3 pbc="T T T"
Na 0.000 3.513 0.000
Na 3.513 0.000 0.000
Li 0.000 0.000 3.114
Ta 0.000 0.000 0.000
Se 1.385 1.385 4.793
Se 1.385 5.640 1.436
Se 5.640 1.385 1.436
Se 5.640 5.640 4.793
```

---

This entry pairs a crystal structure of NaLiTa2Se4 with its computed powder XRD pattern. Radiation: λ = 1.5418 Å (Cu Kα). Structure: the PBE geometry in OQMD.
Peak positions follow from Bragg's law for the DFT cell and can differ from measured ones.

The 10 most intense peaks (2θ = 10–90°), in order of rising 2θ:
12.39°, I 100; 29.23°, I 17; 29.91°, I 26; 31.86°, I 48; 34.89°, I 17; 38.79°, I 83; 43.36°, I 18; 48.47°, I 18; 51.83°, I 33; 66.58°, I 17

```
8
Lattice="3.528 0.000 0.000 -1.764 3.055 0.000 0.000 0.000 14.285" Properties=species:S:1:pos:R:3 pbc="T T T"
Na 0.000 0.000 0.000
Li 0.000 0.000 7.143
Ta 0.000 0.000 3.764
Ta 0.000 0.000 10.522
Se 0.000 2.037 8.858
Se 0.000 2.037 12.180
Se 1.764 1.018 2.105
Se 1.764 1.018 5.428
```

---

This entry pairs a crystal structure of Li8NbO6 with its computed powder XRD pattern. Radiation: λ = 1.5418 Å (Cu Kα). Structure: the PBE geometry in OQMD.
Peak positions follow from Bragg's law for the DFT cell and can differ from measured ones.

The 10 most intense peaks (2θ = 10–90°), in order of rising 2θ:
17.32°, I 41; 19.76°, I 100; 22.18°, I 77; 30.06°, I 29; 34.90°, I 21; 37.52°, I 71; 38.77°, I 14; 48.92°, I 46; 52.91°, I 13; 58.97°, I 24

```
15
Lattice="2.713 1.566 5.119 -2.713 1.566 5.119 0.000 -3.133 5.119" Properties=species:S:1:pos:R:3 pbc="T T T"
Li -1.040 -1.667 5.830
Li 0.000 0.000 2.454
Li -1.964 0.067 9.528
Li -0.924 1.735 5.830
Li 0.924 -1.735 9.528
Li 1.964 -0.067 5.830
Li 0.000 0.000 12.904
Li 1.040 1.667 9.528
Nb 0.000 0.000 7.679
O -1.695 0.038 6.435
O -0.880 -1.449 8.923
O 0.815 -1.486 6.435
O -0.815 1.486 8.923
O 0.880 1.449 6.435
O 1.695 -0.038 8.923
```

---

This entry pairs a crystal structure of Li4Nb2O5 with its computed powder XRD pattern. Radiation: λ = 1.5418 Å (Cu Kα). Structure: the PBE geometry in OQMD.
Peak positions follow from Bragg's law for the DFT cell and can differ from measured ones.

The 10 most intense peaks (2θ = 10–90°), in order of rising 2θ:
14.11°, I 82; 21.31°, I 100; 22.27°, I 47; 30.11°, I 57; 37.18°, I 40; 42.96°, I 33; 43.24°, I 30; 43.40°, I 32; 48.43°, I 21; 53.73°, I 22

```
11
Lattice="2.105 -6.277 0.000 2.105 6.277 0.000 0.000 0.000 4.170" Properties=species:S:1:pos:R:3 pbc="T T T"
Li 0.000 0.000 0.000
Li 2.105 4.089 2.085
Li 2.105 0.000 2.085
Li 2.105 -4.089 2.085
Nb 2.105 2.150 0.000
Nb 2.105 -2.150 0.000
O 2.105 4.377 0.000
O 2.105 2.060 2.085
O 2.105 0.000 0.000
O 2.105 -2.060 2.085
O 2.105 -4.377 0.000
```